[1]
Nd4O5: simulated X-ray diffraction stick pattern (Cu Ka), based on a cell relaxed with PBE.

Unit cell a=4.565 b=4.565 c=7.293 alpha=90.00 beta=90.00 gamma=90.00
Space group P4/mmm (No. 123)
Unique sites:
Nd  0.000  0.000  0.000 [1 per cell]
Nd  0.000  0.000  0.500 [1 per cell]
Nd  0.500  0.500  0.210 [2 per cell]
O  0.000  0.500  0.221 [4 per cell]
O  0.500  0.500  0.500 [1 per cell]

Main lines, sorted by position (5° ≤ 2θ ≤ 70°):
(hkl)  2θ/deg  d_spacing  Rel. int.
1 1 0  27.64  3.228  70
1 0 2  31.40  2.849  100
2 0 0  39.48  2.282  42
1 0 3  42.11  2.146  7
0 0 4  50.03  1.823  6
2 1 2  51.29  1.781  51
2 2 0  57.07  1.614  14
1 1 4  58.11  1.588  11
2 1 3  59.09  1.563  5
3 1 0  64.56  1.443  13
2 0 4  65.53  1.425  11
3 0 2  66.60  1.404  12

[2]
Ho2GaPdI2: simulated X-ray diffraction stick pattern (Cu Ka), based on a cell relaxed with PBE.

Unit cell a=4.2953 b=4.2953 c=11.6756 alpha=90.00 beta=90.00 gamma=120.00
Space group P3m1 (No. 156)
Unique sites:
Ho  0.0000  0.0000  0.0000 [1 per cell]
Ho  0.0000  0.0000  0.3137 [1 per cell]
Ga  0.3333  0.6667  0.1621 [1 per cell]
Pd  0.6667  0.3333  0.1493 [1 per cell]
I  0.3333  0.6667  0.8235 [1 per cell]
I  0.6667  0.3333  0.4870 [1 per cell]

Main lines, sorted by position (5° ≤ 2θ ≤ 70°):
(hkl)  2θ/deg  d_spacing  Rel. int.
0 0 1  7.57  11.676  97
1 0 1  25.13  3.544  41
1 0 2  28.45  3.137  33
1 0 3  33.32  2.689  100
0 1 4  39.23  2.296  21
1 1 0  42.07  2.148  52
1 1 1  42.81  2.112  10
0 1 5  45.88  1.978  7
0 0 6  46.68  1.946  12
0 2 3  54.70  1.678  24
2 0 4  58.88  1.569  6
1 1 6  64.63  1.442  27